1.
# NaCd6Ag5
Calculated XRD peak list, CuKα. Input: a GGA-PBE-relaxed structure.
Peak positions follow from Bragg's law for the DFT cell and can differ from measured ones.

Top 10 peaks for 2θ = 15–90°, in order of rising 2θ:
2θ 19.2, I 296; 2θ 32.4, I 969; 2θ 35.3, I 754; 2θ 37.7, I 560; 2θ 39.4, I 1000; 2θ 39.7, I 656; 2θ 44.4, I 494; 2θ 64.1, I 217; 2θ 68.8, I 221; 2θ 69.3, I 241

Crystal structure
Lattice parameters (Å, degrees): 5.3166 12.7632 8.0723 90.00 107.13 90.00
Space group C2/m (No. 12)
Asymmetric unit:
Na (0.0000, 0.0000, 0.0000) (multiplicity 2)
Cd (0.0290, 0.1903, 0.6992) (multiplicity 8)
Cd (0.0741, 0.5000, 0.1966) (multiplicity 4)
Ag (0.0000, 0.0000, 0.5000) (multiplicity 2)
Ag (0.0000, 0.3040, 0.0000) (multiplicity 4)
Ag (0.0000, 0.3884, 0.5000) (multiplicity 4)

2.
# Na2Cd4Ag5
Calculated XRD peak list, CuKα. Input: a GGA-PBE-relaxed structure.
Peak positions follow from Bragg's law for the DFT cell and can differ from measured ones.

Top 10 peaks for 2θ = 15–90°, in order of rising 2θ:
2θ 18.3, I 907; 2θ 18.5, I 952; 2θ 34.9, I 758; 2θ 36.6, I 908; 2θ 38.2, I 599; 2θ 40.0, I 314; 2θ 41.2, I 1000; 2θ 42.0, I 585; 2θ 42.7, I 284; 2θ 66.5, I 274

Crystal structure
Lattice parameters (Å, degrees): 5.7545 9.6766 18.8329 90.00 90.00 90.00
Space group Fmmm (No. 69)
Asymmetric unit:
Na (0.0000, 0.0000, 0.1577) (multiplicity 8)
Cd (0.0000, 0.1611, 0.3720) (multiplicity 16)
Ag (0.0000, 0.0000, 0.5000) (multiplicity 4)
Ag (0.2500, 0.2500, 0.0000) (multiplicity 8)
Ag (0.2500, 0.2500, 0.2500) (multiplicity 8)